[1]
Starting from a PBE-relaxed structure, the XRD peak list of Pm5SmHo was simulated for Cu Kα (weighted mean of Kα1 and Kα2).
Peak positions follow from Bragg's law for the DFT cell and can differ from measured ones.

Top 10 peaks for 2θ = 15–90°, low angle first:
Position (°2θ), Rel. int., hkl
18.0, 54, 1 0 1
22.2, 60, 2 0 0
23.5, 54, 1 2 1
27.5, 61, 2 1 1
30.2, 93, 0 4 0
31.6, 100, 1 1 2
36.5, 52, 3 0 1
38.4, 62, 1 3 2
39.6, 63, 2 2 2
48.1, 48, 3 4 1

Structural model:
```
data_Pm5SmHo
_chemical_formula_sum 'Pm10 Sm2 Ho2'
_space_group_name_H-M_alt 'I m m 2'
_space_group_IT_number 44
_cell_length_a 8.0232
_cell_length_b 11.8315
_cell_length_c 6.2509
_cell_angle_alpha 90.00
_cell_angle_beta 90.00
_cell_angle_gamma 90.00
loop_
_space_group_symop_operation_xyz
'x,y,z'
'-x,-y,z'
'-x,y,z'
'x,-y,z'
'x+1/2,y+1/2,z+1/2'
'-x+1/2,-y+1/2,z+1/2'
'-x+1/2,y+1/2,z+1/2'
'x+1/2,-y+1/2,z+1/2'
loop_
_atom_site_label
_atom_site_fract_x
_atom_site_fract_y
_atom_site_fract_z
Pm1 0.0000 0.0000 0.0000
Pm2 0.0000 0.2481 0.7340
Pm3 0.1788 0.5000 0.2345
Sm1 0.0000 0.0000 0.4670
Ho1 0.0000 0.5000 0.7348
```

---

[2]
Starting from a PBE-relaxed structure, the XRD peak list of KNbTePdI was simulated for Cu Kα (weighted mean of Kα1 and Kα2).
Peak positions follow from Bragg's law for the DFT cell and can differ from measured ones.

Top 10 peaks for 2θ = 15–90°, low angle first:
Position (°2θ), Rel. int., hkl
25.3, 46, 0 1 2
27.6, 100, 1 0 4
29.2, 31, 0 1 5
35.2, 87, 0 1 8
40.1, 39, 1 0 10
43.2, 79, 1 1 0
48.4, 21, 1 0 13
56.9, 21, 2 0 8
58.7, 19, 1 1 12
74.1, 19, 1 2 8

Structural model:
```
data_KNbTePdI
_chemical_formula_sum 'K3 Nb3 Te3 Pd3 I3'
_space_group_name_H-M_alt 'R 3 m'
_space_group_IT_number 160
_space_group_name_Hall 'R 3 -2"'
_cell_length_a 4.1861
_cell_length_b 4.1861
_cell_length_c 28.6301
_cell_angle_alpha 90.00
_cell_angle_beta 90.00
_cell_angle_gamma 120.00
loop_
_atom_site_label
_atom_site_fract_x
_atom_site_fract_y
_atom_site_fract_z
K1 0.0000 0.0000 0.0000
Nb1 0.0000 0.0000 0.8448
Te1 0.0000 0.0000 0.7501
Pd1 0.0000 0.0000 0.4704
I1 0.0000 0.0000 0.2412
```

---

[3]
Starting from a PBE-relaxed structure, the XRD peak list of BaNp4O12 was simulated for Cu Kα (weighted mean of Kα1 and Kα2).
Peak positions follow from Bragg's law for the DFT cell and can differ from measured ones.

Top 10 peaks for 2θ = 15–90°, low angle first:
Position (°2θ), Rel. int., hkl
21.1, 90, 2 0 0
30.0, 100, 2 2 0
36.9, 14, 2 2 2
42.9, 30, 4 0 0
48.3, 42, 4 2 0
53.2, 43, 4 2 2
62.3, 20, 4 4 0
66.6, 20, 4 4 2
70.7, 19, 6 2 0
86.4, 24, 6 4 2

Structural model:
```
data_BaNp4O12
_chemical_formula_sum 'Ba2 Np8 O24'
_space_group_name_H-M_alt 'I m -3 m'
_space_group_IT_number 229
_space_group_name_Hall '-I 4 2 3'
_cell_length_a 8.4296
_cell_length_b 8.4296
_cell_length_c 8.4296
_cell_angle_alpha 90.00
_cell_angle_beta 90.00
_cell_angle_gamma 90.00
loop_
_atom_site_label
_atom_site_fract_x
_atom_site_fract_y
_atom_site_fract_z
Ba1 0.0000 0.0000 0.0000
Np1 0.2500 0.2500 0.2500
O1 0.0000 0.2426 0.2426
```

---

[4]
Starting from a PBE-relaxed structure, the XRD peak list of NiPt6W was simulated for Cu Kα (weighted mean of Kα1 and Kα2).
Peak positions follow from Bragg's law for the DFT cell and can differ from measured ones.

Top 10 peaks for 2θ = 15–90°, low angle first:
Position (°2θ), Rel. int., hkl
34.3, 4, 1 1 2
39.7, 100, 1 1 4
45.9, 15, 0 0 8
46.3, 34, 2 0 0
67.3, 19, 2 0 8
67.6, 12, 2 2 0
68.3, 3, 1 1 10
80.8, 10, 1 1 12
81.4, 26, 3 1 4
85.6, 10, 2 2 8

Structural model:
```
data_NiPt6W
_chemical_formula_sum 'Ni2 Pt12 W2'
_space_group_name_H-M_alt 'I 4/m m m'
_space_group_IT_number 139
_space_group_name_Hall '-I 4 2'
_cell_length_a 3.9193
_cell_length_b 3.9193
_cell_length_c 15.8011
_cell_angle_alpha 90.00
_cell_angle_beta 90.00
_cell_angle_gamma 90.00
loop_
_atom_site_label
_atom_site_fract_x
_atom_site_fract_y
_atom_site_fract_z
Ni1 0.0000 0.0000 0.0000
Pt1 0.0000 0.0000 0.2468
Pt2 0.0000 0.5000 0.1157
W1 0.0000 0.0000 0.5000
```

---

[5]
Starting from a PBE-relaxed structure, the XRD peak list of HgH11Pt5 was simulated for Cu Kα (weighted mean of Kα1 and Kα2).
Peak positions follow from Bragg's law for the DFT cell and can differ from measured ones.

Top 10 peaks for 2θ = 15–90°, low angle first:
Position (°2θ), Rel. int., hkl
20.0, 49, 1 1 0
22.9, 95, 0 2 1
26.9, 38, 1 1 1
31.9, 32, 0 2 2
33.2, 55, 2 0 -1
33.9, 40, 1 3 0
38.5, 100, 0 0 3
38.6, 32, 1 3 -2
40.8, 70, 0 4 1
46.8, 41, 1 3 -3

Structural model:
```
data_HgH11Pt5
_chemical_formula_sum 'Hg2 H22 Pt10'
_space_group_name_H-M_alt 'C 1 m 1'
_space_group_IT_number 8
_cell_length_a 5.3951
_cell_length_b 9.3266
_cell_length_c 7.4917
_cell_angle_alpha 90.00
_cell_angle_beta 110.68
_cell_angle_gamma 90.00
loop_
_space_group_symop_operation_xyz
'x,y,z'
'x,-y,z'
'x+1/2,y+1/2,z'
'x+1/2,-y+1/2,z'
loop_
_atom_site_label
_atom_site_fract_x
_atom_site_fract_y
_atom_site_fract_z
Hg1 0.0000 0.0000 0.0000
H1 0.1638 0.3454 0.1597
H2 0.2488 0.0000 0.6218
H3 0.2522 0.3312 0.6474
H4 0.2960 0.1802 0.4172
H5 0.3491 0.1516 0.8924
H6 0.3523 0.5000 0.4389
H7 0.4383 0.0000 0.3298
Pt1 0.0167 0.5000 0.0263
Pt2 0.1468 0.3494 0.3881
Pt3 0.4224 0.1576 0.6872
```

---

[6]
Starting from a PBE-relaxed structure, the XRD peak list of LaPr4Mg was simulated for Cu Kα (weighted mean of Kα1 and Kα2).
Peak positions follow from Bragg's law for the DFT cell and can differ from measured ones.

Top 10 peaks for 2θ = 15–90°, low angle first:
Position (°2θ), Rel. int., hkl
26.7, 13, 1 0 2
30.0, 100, 1 0 3
33.8, 40, 1 1 0
36.7, 11, 0 0 6
46.1, 9, 1 1 5
48.6, 14, 2 0 0
50.7, 18, 1 1 6
55.7, 9, 1 0 8
58.1, 31, 2 1 3
62.3, 9, 2 0 6

Structural model:
```
data_LaPr4Mg
_chemical_formula_sum 'La1 Pr4 Mg1'
_space_group_name_H-M_alt 'P 4/m m m'
_space_group_IT_number 123
_space_group_name_Hall '-P 4 2'
_cell_length_a 3.7500
_cell_length_b 3.7500
_cell_length_c 14.7099
_cell_angle_alpha 90.00
_cell_angle_beta 90.00
_cell_angle_gamma 90.00
loop_
_atom_site_label
_atom_site_fract_x
_atom_site_fract_y
_atom_site_fract_z
La1 0.0000 0.0000 0.0000
Pr1 0.0000 0.0000 0.3541
Pr2 0.5000 0.5000 0.1798
Mg1 0.5000 0.5000 0.5000
```